# 1
Simulated X-ray powder pattern of Tm3PtPb for a wavelength of 1.5418 Å, from a cell relaxed with PBE.
Neutral-atom scattering factors, no anomalous dispersion.

Crystal structure
a = 4.567 Å, b = 6.769 Å, c = 8.787 Å
α = 90.00°, β = 90.00°, γ = 90.00°
Fractional positions:
Tm 0.250 0.000 0.160
Tm 0.250 0.250 0.580
Tm 0.250 0.500 0.160
Tm 0.750 0.000 0.840
Tm 0.750 0.500 0.840
Tm 0.750 0.750 0.420
Pt 0.250 0.250 0.901
Pt 0.750 0.750 0.099
Pb 0.250 0.750 0.647
Pb 0.750 0.250 0.353

Principal peaks in the range 10 to 90 degrees two-theta, by angle:
two_theta	I_rel
24.15	17
28.21	62
33.37	18
34.53	100
36.44	15
38.89	16
39.46	34
40.74	17
41.09	14
45.52	25

***

# 2
Simulated X-ray powder pattern of Ba3Ge16Rh4 for a wavelength of 1.5418 Å, from a cell relaxed with PBE.
Neutral-atom scattering factors, no anomalous dispersion.

Crystal structure
a = 12.186 Å, b = 12.186 Å, c = 12.186 Å
α = 148.51°, β = 148.51°, γ = 45.13°
Fractional positions:
Ba 0.000 0.000 0.000
Ba 0.250 0.750 0.500
Ba 0.750 0.250 0.500
Ge 0.114 0.114 0.488
Ge 0.114 0.627 0.000
Ge 0.197 0.197 0.000
Ge 0.226 0.500 0.726
Ge 0.309 0.309 0.000
Ge 0.373 0.373 0.488
Ge 0.373 0.886 0.000
Ge 0.500 0.226 0.726
Ge 0.500 0.774 0.274
Ge 0.627 0.114 0.000
Ge 0.627 0.627 0.512
Ge 0.691 0.691 0.000
Ge 0.774 0.500 0.274
Ge 0.803 0.803 0.000
Ge 0.886 0.373 0.000
Ge 0.886 0.886 0.512
Rh 0.089 0.589 0.500
Rh 0.411 0.911 0.500
Rh 0.589 0.089 0.500
Rh 0.911 0.411 0.500

Principal peaks in the range 10 to 90 degrees two-theta, by angle:
two_theta	I_rel
26.97	19
30.54	100
31.38	57
31.81	18
32.54	18
38.51	55
41.84	21
49.93	54
55.59	36
56.40	26

***

# 3
Simulated X-ray powder pattern of DyTh6Bi8 for a wavelength of 1.5418 Å, from a cell relaxed with PBE.
Neutral-atom scattering factors, no anomalous dispersion.

Crystal structure
a = 8.533 Å, b = 8.533 Å, c = 8.533 Å
α = 68.67°, β = 68.67°, γ = 68.67°
Fractional positions:
Dy 0.000 0.000 0.000
Th 0.076 0.693 0.461
Th 0.307 0.539 0.924
Th 0.461 0.076 0.693
Th 0.539 0.924 0.307
Th 0.693 0.461 0.076
Th 0.924 0.307 0.539
Bi 0.095 0.361 0.816
Bi 0.184 0.905 0.639
Bi 0.331 0.331 0.331
Bi 0.361 0.816 0.095
Bi 0.639 0.184 0.905
Bi 0.669 0.669 0.669
Bi 0.816 0.095 0.361
Bi 0.905 0.639 0.184

Principal peaks in the range 10 to 90 degrees two-theta, by angle:
two_theta	I_rel
18.44	21
23.03	28
27.55	33
28.71	24
29.81	47
32.22	94
33.36	100
33.92	31
47.05	24
66.91	22